# 1
Diffraction record for Fe5CuP6O24. The powder diffraction line list is theoretical, not measured: it uses a structure optimized by DFT (GGA+U) and Cu Kα (weighted mean of Kα1 and Kα2).
Peak positions follow from Bragg's law for the DFT cell and can differ from measured ones.

The 10 most intense peaks (10° ≤ 2θ ≤ 80°), by angle:
d_spacing	I_rel	hkl
4.328	94	1 1 0
3.641	100	1 1 3
2.806	15	2 1 1
2.658	78	1 1 6
2.499	46	3 0 0
1.886	29	1 2 8
1.821	31	4 -2 6
1.636	26	4 1 0
1.605	14	3 1 8
1.471	26	1 4 6

```
data_Fe5CuP6O24
_chemical_formula_sum 'Fe15 Cu3 P18 O72'
_space_group_name_H-M_alt 'R 3'
_space_group_IT_number 146
_space_group_name_Hall 'R 3'
_cell_length_a 8.6555
_cell_length_b 8.6555
_cell_length_c 20.2115
_cell_angle_alpha 90.00
_cell_angle_beta 90.00
_cell_angle_gamma 120.00
loop_
_atom_site_label
_atom_site_type_symbol
_atom_site_fract_x
_atom_site_fract_y
_atom_site_fract_z
Fe1 Fe 0.0000 0.0000 0.0000
Fe2 Fe 0.0000 0.0000 0.1462
Fe3 Fe 0.0000 0.0000 0.2928
Fe4 Fe 0.0000 0.0000 0.6458
Fe5 Fe 0.0000 0.0000 0.7922
Cu1 Cu 0.0000 0.0000 0.5004
P1 P 0.0351 0.6677 0.5626
P2 P 0.0367 0.3691 0.0642
O1 O 0.0049 0.2064 0.4612
O2 O 0.0073 0.1754 0.0742
O3 O 0.0112 0.8061 0.9582
O4 O 0.0122 0.8340 0.5753
O5 O 0.1407 0.6797 0.5007
O6 O 0.1431 0.4628 0.0022
O7 O 0.1645 0.6748 0.8847
O8 O 0.1659 0.4876 0.3849
```

***

# 2
Diffraction record for Li2Ni3SnO8. The powder diffraction line list is theoretical, not measured: it uses a structure optimized by DFT (GGA+U) and Cu Kα (weighted mean of Kα1 and Kα2).
Peak positions follow from Bragg's law for the DFT cell and can differ from measured ones.

The 10 most intense peaks (10° ≤ 2θ ≤ 80°), by angle:
d_spacing	I_rel	hkl
4.934	10	0 0 3
4.786	100	1 0 1
2.555	20	0 1 5
2.513	38	1 1 3
2.393	17	2 0 2
2.088	55	0 2 4
1.896	12	2 1 1
1.606	13	1 2 5
1.493	17	2 0 8
1.460	17	2 2 0

```
data_Li2Ni3SnO8
_chemical_formula_sum 'Li6 Ni9 Sn3 O24'
_space_group_name_H-M_alt 'R -3 m'
_space_group_IT_number 166
_space_group_name_Hall '-R 3 2"'
_cell_length_a 5.8406
_cell_length_b 5.8406
_cell_length_c 14.8032
_cell_angle_alpha 90.00
_cell_angle_beta 90.00
_cell_angle_gamma 120.00
loop_
_atom_site_label
_atom_site_type_symbol
_atom_site_fract_x
_atom_site_fract_y
_atom_site_fract_z
Li1 Li 0.0000 0.0000 0.1206
Ni1 Ni 0.0000 0.5000 0.0000
Sn1 Sn 0.0000 0.0000 0.5000
O1 O 0.0000 0.0000 0.2650
O2 O 0.0260 0.5130 0.2586
```

***

# 3
Diffraction record for V2P2O7. The powder diffraction line list is theoretical, not measured: it uses a structure optimized by DFT (GGA+U) and Cu Kα (weighted mean of Kα1 and Kα2).
Peak positions follow from Bragg's law for the DFT cell and can differ from measured ones.

The 10 most intense peaks (10° ≤ 2θ ≤ 80°), by angle:
d_spacing	I_rel	hkl
3.419	10	1 2 0
3.138	68	1 1 1
3.003	100	1 2 -1
2.754	12	1 3 0
2.602	29	0 4 0
2.208	16	1 0 2
2.123	19	1 4 -1
2.011	10	2 2 -1
1.646	20	2 0 2
1.366	9	3 2 1

```
data_V2P2O7
_chemical_formula_sum 'V4 P4 O14'
_space_group_name_H-M_alt 'P 1 21/c 1'
_space_group_IT_number 14
_cell_length_a 4.568
_cell_length_b 10.396
_cell_length_c 5.414
_cell_angle_alpha 90.00
_cell_angle_beta 96.43
_cell_angle_gamma 90.00
loop_
_space_group_symop_operation_xyz
'x,y,z'
'-x,-y,-z'
'-x,y+1/2,-z+1/2'
'x,-y+1/2,z+1/2'
loop_
_atom_site_label
_atom_site_type_symbol
_atom_site_fract_x
_atom_site_fract_y
_atom_site_fract_z
V1 V 0.095 0.157 0.419
P1 P 0.360 0.610 0.651
O1 O 0.128 0.675 0.463
O2 O 0.217 0.545 0.863
O3 O 0.385 0.199 0.752
O4 O 0.500 0.000 0.000
```

***

# 4
Diffraction record for Mn3CrO8. The powder diffraction line list is theoretical, not measured: it uses a structure optimized by DFT (GGA+U) and Cu Kα (weighted mean of Kα1 and Kα2).
Peak positions follow from Bragg's law for the DFT cell and can differ from measured ones.

The 10 most intense peaks (10° ≤ 2θ ≤ 80°), by angle:
d_spacing	I_rel	hkl
4.764	100	1 1 1
2.488	33	3 1 1
2.382	9	2 2 2
2.063	48	4 0 0
1.893	9	3 3 1
1.588	16	5 1 1
1.459	25	4 4 0
1.395	13	5 3 1
1.258	3	5 3 3
1.244	5	6 2 2

```
data_Mn3CrO8
_chemical_formula_sum 'Mn12 Cr4 O32'
_space_group_name_H-M_alt 'P 43 3 2'
_space_group_IT_number 212
_space_group_name_Hall 'P 4acd 2ab 3'
_cell_length_a 8.251
_cell_length_b 8.251
_cell_length_c 8.251
_cell_angle_alpha 90.00
_cell_angle_beta 90.00
_cell_angle_gamma 90.00
loop_
_atom_site_label
_atom_site_type_symbol
_atom_site_fract_x
_atom_site_fract_y
_atom_site_fract_z
Mn1 Mn 0.124 0.126 0.625
Cr1 Cr 0.125 0.875 0.375
O1 O 0.108 0.111 0.391
O2 O 0.111 0.611 0.889
```

***

# 5
Diffraction record for Ti2Mn3Fe3O16. The powder diffraction line list is theoretical, not measured: it uses a structure optimized by DFT (GGA+U) and Cu Kα (weighted mean of Kα1 and Kα2).
Peak positions follow from Bragg's law for the DFT cell and can differ from measured ones.

The 10 most intense peaks (10° ≤ 2θ ≤ 80°), by angle:
d_spacing	I_rel	hkl
4.515	100	0 0 2
4.462	33	1 1 -1
4.404	50	2 0 1
2.459	34	2 2 -1
2.441	43	2 2 1
2.231	17	2 2 -2
2.202	23	2 2 2
1.958	19	2 2 -3
1.929	20	2 2 3
1.475	27	6 2 0

```
data_Ti2Mn3Fe3O16
_chemical_formula_sum 'Ti4 Mn6 Fe6 O32'
_space_group_name_H-M_alt 'C 1 m 1'
_space_group_IT_number 8
_cell_length_a 10.249
_cell_length_b 5.863
_cell_length_c 9.035
_cell_angle_alpha 90.00
_cell_angle_beta 91.71
_cell_angle_gamma 90.00
loop_
_space_group_symop_operation_xyz
'x,y,z'
'x,-y,z'
'x+1/2,y+1/2,z'
'x+1/2,-y+1/2,z'
loop_
_atom_site_label
_atom_site_type_symbol
_atom_site_fract_x
_atom_site_fract_y
_atom_site_fract_z
Ti1 Ti 0.000 0.000 0.000
Ti2 Ti 0.164 0.500 0.499
Mn1 Mn 0.009 0.500 0.212
Mn2 Mn 0.422 0.253 0.711
Fe1 Fe 0.172 0.000 0.708
Fe2 Fe 0.255 0.249 0.209
O1 O 0.004 0.500 0.603
O2 O 0.075 0.215 0.835
O3 O 0.097 0.286 0.339
O4 O 0.166 0.500 0.100
O5 O 0.170 0.000 0.097
O6 O 0.255 0.253 0.598
O7 O 0.314 0.500 0.339
O8 O 0.345 0.000 0.814
O9 O 0.346 0.000 0.313
O10 O 0.360 0.500 0.832
O11 O 0.426 0.252 0.097
O12 O 0.497 0.500 0.600
```

***

# 6
Diffraction record for Mn6O5F7. The powder diffraction line list is theoretical, not measured: it uses a structure optimized by DFT (GGA+U) and Cu Kα (weighted mean of Kα1 and Kα2).
Peak positions follow from Bragg's law for the DFT cell and can differ from measured ones.

The 10 most intense peaks (10° ≤ 2θ ≤ 80°), by angle:
d_spacing	I_rel	hkl
3.071	41	1 -1 3
3.040	100	1 1 -3
2.828	39	1 1 3
2.669	14	0 2 0
2.049	11	-2 1 4
1.872	11	0 2 -6
1.849	14	2 0 -6
1.763	12	2 0 6
1.759	14	0 2 6
1.512	12	-1 1 9

```
data_Mn6O5F7
_chemical_formula_sum 'Mn12 O10 F14'
_space_group_name_H-M_alt 'P 1'
_space_group_IT_number 1
_cell_length_a 5.301
_cell_length_b 5.360
_cell_length_c 14.864
_cell_angle_alpha 93.38
_cell_angle_beta 92.50
_cell_angle_gamma 93.75
loop_
_space_group_symop_operation_xyz
'x,y,z'
loop_
_atom_site_label
_atom_site_type_symbol
_atom_site_fract_x
_atom_site_fract_y
_atom_site_fract_z
Mn1 Mn 0.000 0.000 0.000
Mn2 Mn 0.000 0.052 0.684
Mn3 Mn 0.044 0.547 0.509
Mn4 Mn 0.076 0.956 0.350
Mn5 Mn 0.105 0.556 0.846
Mn6 Mn 0.431 0.046 0.850
Mn7 Mn 0.478 0.518 0.005
Mn8 Mn 0.533 0.972 0.183
Mn9 Mn 0.535 0.395 0.351
Mn10 Mn 0.574 0.880 0.514
Mn11 Mn 0.649 0.520 0.683
Mn12 Mn 0.940 0.614 0.172
O1 O 0.143 0.885 0.781
O2 O 0.242 0.827 0.453
O3 O 0.243 0.278 0.924
O4 O 0.309 0.759 0.936
O5 O 0.356 0.121 0.281
O6 O 0.691 0.768 0.088
O7 O 0.729 0.643 0.431
O8 O 0.823 0.867 0.251
O9 O 0.851 0.752 0.609
O10 O 0.911 0.366 0.750
F1 F 0.040 0.361 0.088
F2 F 0.205 0.871 0.114
F3 F 0.252 0.624 0.265
F4 F 0.271 0.325 0.434
F5 F 0.365 0.581 0.602
F6 F 0.415 0.374 0.766
F7 F 0.428 0.085 0.609
F8 F 0.536 0.275 0.095
F9 F 0.637 0.867 0.766
F10 F 0.717 0.165 0.927
F11 F 0.777 0.134 0.415
F12 F 0.784 0.368 0.258
F13 F 0.811 0.655 0.924
F14 F 0.903 0.239 0.580
```

***

# 7
Diffraction record for Mg2VWO6. The powder diffraction line list is theoretical, not measured: it uses a structure optimized by DFT (GGA+U) and Cu Kα (weighted mean of Kα1 and Kα2).
Peak positions follow from Bragg's law for the DFT cell and can differ from measured ones.

The 10 most intense peaks (10° ≤ 2θ ≤ 80°), by angle:
d_spacing	I_rel	hkl
4.690	34	0 0 1
4.298	29	1 0 0
4.263	28	1 1 1
3.806	100	1 0 1
3.782	50	1 1 0
2.788	34	0 1 -1
2.772	34	1 0 -1
2.762	33	1 1 2
1.903	29	0 2 2
1.738	32	2 1 3

```
data_Mg2VWO6
_chemical_formula_sum 'Mg2 V1 W1 O6'
_space_group_name_H-M_alt 'P 1'
_space_group_IT_number 1
_cell_length_a 5.176
_cell_length_b 5.205
_cell_length_c 5.551
_cell_angle_alpha 62.59
_cell_angle_beta 62.43
_cell_angle_gamma 60.77
loop_
_space_group_symop_operation_xyz
'x,y,z'
loop_
_atom_site_label
_atom_site_type_symbol
_atom_site_fract_x
_atom_site_fract_y
_atom_site_fract_z
Mg1 Mg 0.000 0.000 0.000
Mg2 Mg 0.496 0.511 0.498
V1 V 0.707 0.710 0.875
W1 W 0.205 0.209 0.381
O1 O 0.093 0.822 0.665
O2 O 0.318 0.596 0.164
O3 O 0.416 0.105 0.654
O4 O 0.590 0.927 0.167
O5 O 0.816 0.429 0.666
O6 O 0.941 0.314 0.168
```